Entry 1:
The following is a computed X-ray diffraction stick pattern of NaTc2F11. It was derived from a crystal structure in Alexandria, relaxed with PBE, using Cu Kα (λ = 1.5418 Å).

Peak list (12 most intense, 15 to 90 degrees two-theta, low angle first)
- 16.8 deg, intensity 55, hkl 0 0 2
- 21.7 deg, intensity 26, hkl 1 1 2
- 23.2 deg, intensity 100, hkl 1 2 1
- 25.7 deg, intensity 20, hkl 2 0 2
- 33.5 deg, intensity 13, hkl 1 2 3
- 41.7 deg, intensity 10, hkl 3 3 0
- 44.2 deg, intensity 17, hkl 2 2 4
- 45.3 deg, intensity 21, hkl 3 3 2
- 46.5 deg, intensity 10, hkl 3 1 4
- 48.5 deg, intensity 11, hkl 4 1 3
- 60.4 deg, intensity 7, hkl 5 2 3
- 65.7 deg, intensity 7, hkl 4 5 1

Structural model:
```
data_NaTc2F11
_symmetry_space_group_name_H-M 'I b a m'
_symmetry_Int_Tables_number 72
_symmetry_space_group_name_Hall '-I 2 2c'
_cell_length_a 9.161
_cell_length_b 9.208
_cell_length_c 10.549
_cell_angle_alpha 90.00
_cell_angle_beta 90.00
_cell_angle_gamma 90.00
loop_
_atom_site_label
_atom_site_type_symbol
_atom_site_fract_x
_atom_site_fract_y
_atom_site_fract_z
Na1 Na 0.000 0.000 0.250
Tc1 Tc 0.159 0.343 0.000
F1 F 0.000 0.500 0.000
F2 F 0.056 0.239 0.127
F3 F 0.199 0.299 0.500
F4 F 0.236 0.055 0.374
```

Entry 2:
The following is a computed X-ray diffraction stick pattern of Na2TeF7. It was derived from a crystal structure in Alexandria, relaxed with PBE, using Cu Kα (λ = 1.5418 Å).

Peak list (12 most intense, 15 to 90 degrees two-theta, low angle first)
- 16.3 deg, intensity 95, hkl 1 1 0
- 17.1 deg, intensity 100, hkl 1 1 -1
- 17.4 deg, intensity 61, hkl 2 0 0
- 20.2 deg, intensity 67, hkl 2 0 -2
- 23.4 deg, intensity 44, hkl 1 1 1
- 24.8 deg, intensity 78, hkl 0 0 2
- 25.5 deg, intensity 65, hkl 3 1 -1
- 27.0 deg, intensity 48, hkl 3 1 -2
- 30.4 deg, intensity 52, hkl 0 2 1
- 40.9 deg, intensity 26, hkl 4 2 -1
- 43.1 deg, intensity 30, hkl 1 3 0
- 47.4 deg, intensity 38, hkl 0 2 3

Structural model:
```
data_Na2TeF7
_symmetry_space_group_name_H-M 'C 1 2/c 1'
_symmetry_Int_Tables_number 15
_symmetry_space_group_name_Hall '-C 2yc'
_cell_length_a 12.635
_cell_length_b 6.442
_cell_length_c 8.895
_cell_angle_alpha 90.00
_cell_angle_beta 126.24
_cell_angle_gamma 90.00
loop_
_atom_site_label
_atom_site_type_symbol
_atom_site_fract_x
_atom_site_fract_y
_atom_site_fract_z
Na1 Na 0.192 0.087 0.295
Te1 Te 0.000 0.366 0.750
F1 F 0.000 0.050 0.750
F2 F 0.086 0.315 0.022
F3 F 0.127 0.379 0.379
F4 F 0.162 0.285 0.766
```